(1)
For Li9Mn2Co5O16, the PBE+U geometry in the Materials Project gives the computed powder XRD pattern in this record (Cu Kα).
Peak positions follow from Bragg's law for the DFT cell and can differ from measured ones.

Structure:
abc: 5.8846 6.5788 8.7555
angles: 82.49 70.43 64.23
Element x y z (fractional)
Li 0.0000 0.0000 0.0000
Li 0.2412 0.2460 0.7583
Li 0.2444 0.7525 0.2474
Li 0.2478 0.4970 0.0018
Li 0.2535 0.9937 0.4982
Li 0.7465 0.0063 0.5018
Li 0.7522 0.5030 0.9982
Li 0.7556 0.2475 0.7526
Li 0.7588 0.7540 0.2417
Mn 0.5000 0.0000 0.0000
Mn 0.5000 0.5000 0.5000
Co 0.9997 0.2399 0.2448
Co 0.0000 0.5000 0.5000
Co 0.0003 0.7601 0.7552
Co 0.4880 0.7544 0.7570
Co 0.5120 0.2456 0.2430
O 0.1186 0.4845 0.2637
O 0.1268 0.9830 0.7448
O 0.1497 0.2339 0.0048
O 0.1503 0.7288 0.4998
O 0.3736 0.5107 0.7361
O 0.3783 0.0084 0.2359
O 0.3800 0.2683 0.4900
O 0.3898 0.7613 0.9870
O 0.6102 0.2387 0.0130
O 0.6200 0.7317 0.5100
O 0.6217 0.9916 0.7641
O 0.6264 0.4893 0.2639
O 0.8497 0.2712 0.5002
O 0.8503 0.7661 0.9952
O 0.8732 0.0170 0.2552
O 0.8814 0.5155 0.7363

Largest 8 diffraction maxima, in order of rising 2θ, 2θ = 5–70°:
2θ 18.28, rel. 100.0
2θ 35.66, rel. 14.0
2θ 36.06, rel. 13.2
2θ 43.03, rel. 28.8
2θ 43.66, rel. 27.3
2θ 43.91, rel. 26.7
2θ 62.75, rel. 15.1
2θ 63.19, rel. 14.8

---

(2)
For MgMn3VCr2P6O24, the PBE+U geometry in the Materials Project gives the computed powder XRD pattern in this record (Cu Kα).
Peak positions follow from Bragg's law for the DFT cell and can differ from measured ones.

Structure:
abc: 8.1858 8.4607 8.8126
angles: 112.38 117.29 94.69
Element x y z (fractional)
Mg 0.0000 0.0000 0.0000
Mn 0.0781 0.3159 0.3265
Mn 0.3374 0.7437 0.4841
Mn 0.8483 0.3027 0.5456
V 0.6019 0.6333 0.1504
Cr 0.2324 0.9725 0.8323
Cr 0.7354 0.4783 0.8533
P 0.0029 0.9650 0.3927
P 0.1564 0.3864 0.0169
P 0.3207 0.5674 0.7088
P 0.4381 0.9673 0.2681
P 0.6955 0.2395 0.0672
P 0.7606 0.6901 0.6034
O 0.0571 0.0457 0.2834
O 0.1334 0.4476 0.6571
O 0.1423 0.1835 0.9507
O 0.1638 0.4740 0.2098
O 0.1717 0.9428 0.5567
O 0.2783 0.9749 0.0861
O 0.3108 0.7577 0.7371
O 0.3419 0.4839 0.0403
O 0.3443 0.8751 0.3374
O 0.3512 0.4835 0.5390
O 0.4900 0.1180 0.9447
O 0.5150 0.5816 0.8816
O 0.5495 0.8489 0.1929
O 0.5799 0.1572 0.4301
O 0.6364 0.7864 0.6657
O 0.6977 0.4158 0.0438
O 0.6987 0.6319 0.3924
O 0.7606 0.5191 0.6368
O 0.7960 0.3038 0.2877
O 0.8313 0.1548 0.0093
O 0.8594 0.7712 0.2340
O 0.9177 0.0870 0.4980
O 0.9676 0.3956 0.8596
O 0.9702 0.8241 0.7459

Largest 8 diffraction maxima, in order of rising 2θ, 2θ = 5–70°:
2θ 20.09, rel. 100.0
2θ 20.20, rel. 33.2
2θ 22.71, rel. 41.4
2θ 23.37, rel. 59.4
2θ 25.74, rel. 49.0
2θ 30.71, rel. 45.5
2θ 31.09, rel. 34.6
2θ 34.67, rel. 45.8

---

(3)
For LuGaCoO4, the PBE+U geometry in the Materials Project gives the computed powder XRD pattern in this record (Cu Kα).
Peak positions follow from Bragg's law for the DFT cell and can differ from measured ones.

Structure:
abc: 8.6673 8.6673 8.6673
angles: 22.79 22.79 22.79
Element x y z (fractional)
Lu 0.0000 0.0000 0.0000
Ga 0.7848 0.7848 0.7848
Co 0.2143 0.2143 0.2143
O 0.1203 0.1203 0.1203
O 0.2933 0.2933 0.2933
O 0.7085 0.7085 0.7085
O 0.8621 0.8621 0.8621

Largest 8 diffraction maxima, in order of rising 2θ, 2θ = 5–70°:
2θ 10.48, rel. 60.7
2θ 30.35, rel. 100.0
2θ 31.81, rel. 52.2
2θ 33.37, rel. 97.1
2θ 35.07, rel. 84.5
2θ 47.20, rel. 46.7
2θ 53.52, rel. 56.4
2θ 63.62, rel. 42.2